[1]
The following is a simulated X-ray powder pattern of Hg9P4O16. It was derived from a crystal structure in the Materials Project, relaxed with GGA-PBE, using a wavelength of 1.5418 Å.
Peak positions follow from Bragg's law for the DFT cell and can differ from measured ones.

Structural model:
```
Hg9P4O16
1.0
8.438 4.871 3.635
-8.438 4.871 3.635
0.000 -9.743 3.635
Hg P O
18 8 32
Direct
0.001 0.636 0.747
0.058 0.110 0.833
0.110 0.833 0.058
0.136 0.501 0.247
0.247 0.136 0.501
0.305 0.834 0.934
0.333 0.610 0.558
0.334 0.805 0.434
0.434 0.334 0.805
0.501 0.247 0.136
0.558 0.333 0.610
0.610 0.558 0.333
0.636 0.747 0.001
0.747 0.001 0.636
0.805 0.434 0.334
0.833 0.058 0.110
0.834 0.934 0.305
0.934 0.305 0.834
0.032 0.827 0.535
0.035 0.327 0.532
0.209 0.209 0.209
0.327 0.532 0.035
0.532 0.035 0.327
0.535 0.032 0.827
0.709 0.709 0.709
0.827 0.535 0.032
0.016 0.667 0.520
0.020 0.167 0.516
0.071 0.243 0.145
0.107 0.933 0.710
0.136 0.886 0.465
0.145 0.071 0.243
0.167 0.516 0.020
0.210 0.433 0.607
0.243 0.145 0.071
0.311 0.369 0.947
0.349 0.349 0.349
0.369 0.947 0.311
0.386 0.636 0.965
0.433 0.607 0.210
0.447 0.869 0.811
0.465 0.136 0.886
0.516 0.020 0.167
0.520 0.016 0.667
0.571 0.645 0.743
0.607 0.210 0.433
0.636 0.965 0.386
0.645 0.743 0.571
0.667 0.520 0.016
0.710 0.107 0.933
0.743 0.571 0.645
0.811 0.447 0.869
0.849 0.849 0.849
0.869 0.811 0.447
0.886 0.465 0.136
0.933 0.710 0.107
0.947 0.311 0.369
0.965 0.386 0.636
```

Most intense lines, 2θ from 5° to 70°, by angle:
2θ (°)  I/Imax
18.0  1000
18.2  482
27.4  817
27.8  366
28.0  479
29.4  595
33.4  540
35.2  742
45.5  274
46.1  585

=====

[2]
The following is a simulated X-ray powder pattern of Hg3PO4. It was derived from a crystal structure in the Materials Project, relaxed with GGA-PBE, using a wavelength of 1.5418 Å.
Peak positions follow from Bragg's law for the DFT cell and can differ from measured ones.

Structural model:
```
Hg3PO4
1.0
9.007 0.000 0.000
0.000 5.146 0.000
-7.846 0.000 12.237
Hg P O
12 4 16
Direct
0.047 0.130 0.089
0.047 0.370 0.589
0.265 0.139 0.451
0.265 0.361 0.951
0.444 0.652 0.124
0.444 0.848 0.624
0.556 0.152 0.376
0.556 0.348 0.876
0.735 0.639 0.049
0.735 0.861 0.549
0.953 0.630 0.411
0.953 0.870 0.911
0.236 0.613 0.273
0.236 0.887 0.773
0.764 0.113 0.227
0.764 0.387 0.727
0.069 0.516 0.164
0.069 0.984 0.664
0.230 0.527 0.374
0.230 0.973 0.874
0.239 0.585 0.771
0.239 0.915 0.271
0.406 0.505 0.281
0.406 0.995 0.781
0.594 0.005 0.219
0.594 0.495 0.719
0.761 0.085 0.729
0.761 0.415 0.229
0.770 0.027 0.126
0.770 0.473 0.626
0.931 0.016 0.336
0.931 0.484 0.836
```

Most intense lines, 2θ from 5° to 70°, by angle:
2θ (°)  I/Imax
14.5  351
19.9  396
24.1  285
27.9  317
29.0  1000
30.1  697
31.1  700
35.7  299
41.5  427
48.1  403

=====

[3]
The following is a simulated X-ray powder pattern of HgP2Pd2O8. It was derived from a crystal structure in the Materials Project, relaxed with GGA-PBE, using a wavelength of 1.5418 Å.
Peak positions follow from Bragg's law for the DFT cell and can differ from measured ones.

Structural model:
```
HgP2Pd2O8
1.0
0.000 5.772 8.046
3.541 0.000 8.046
3.541 5.772 0.000
Hg P Pd O
2 4 4 16
Direct
0.125 0.125 0.125
0.875 0.875 0.875
0.080 0.080 0.670
0.330 0.330 0.920
0.670 0.670 0.080
0.920 0.920 0.330
0.000 0.500 0.500
0.500 0.000 0.500
0.500 0.500 0.000
0.500 0.500 0.500
0.026 0.246 0.500
0.095 0.452 0.153
0.153 0.800 0.095
0.200 0.847 0.548
0.246 0.026 0.728
0.272 0.500 0.754
0.452 0.095 0.800
0.500 0.272 0.974
0.500 0.728 0.026
0.548 0.905 0.200
0.728 0.500 0.246
0.754 0.974 0.272
0.800 0.153 0.452
0.847 0.200 0.905
0.905 0.548 0.847
0.974 0.754 0.500
```

Most intense lines, 2θ from 5° to 70°, by angle:
2θ (°)  I/Imax
22.2  864
26.9  1000
29.6  277
31.5  689
31.7  412
37.2  412
38.4  282
39.4  259
41.5  319
56.8  211

=====

[4]
The following is a simulated X-ray powder pattern of Hg2Pt2O7. It was derived from a crystal structure in the Materials Project, relaxed with GGA-PBE, using a wavelength of 1.5418 Å.
Peak positions follow from Bragg's law for the DFT cell and can differ from measured ones.

Structural model:
```
Hg2Pt2O7
1.0
0.000 5.181 5.181
5.181 0.000 5.181
5.181 5.181 0.000
Hg Pt O
4 4 14
Direct
0.000 0.000 0.000
0.000 0.000 0.500
0.000 0.500 0.000
0.500 0.000 0.000
0.000 0.500 0.500
0.500 0.000 0.500
0.500 0.500 0.000
0.500 0.500 0.500
0.125 0.125 0.125
0.172 0.172 0.578
0.172 0.578 0.172
0.172 0.578 0.578
0.422 0.422 0.828
0.422 0.828 0.422
0.422 0.828 0.828
0.578 0.172 0.172
0.578 0.172 0.578
0.578 0.578 0.172
0.828 0.422 0.422
0.828 0.422 0.828
0.828 0.828 0.422
0.875 0.875 0.875
```

Most intense lines, 2θ from 5° to 70°, by angle:
2θ (°)  I/Imax
29.9  1000
34.6  393
37.8  7
49.8  438
59.1  448
62.1  116

=====

[5]
The following is a simulated X-ray powder pattern of ReHgO4. It was derived from a crystal structure in the Materials Project, relaxed with GGA-PBE, using a wavelength of 1.5418 Å.
Peak positions follow from Bragg's law for the DFT cell and can differ from measured ones.

Structural model:
```
ReHgO4
1.0
5.825 0.000 0.000
0.000 5.203 0.000
-5.414 0.000 14.634
Re Hg O
4 4 16
Direct
0.141 0.142 0.156
0.141 0.358 0.656
0.859 0.642 0.344
0.859 0.858 0.844
0.395 0.173 0.438
0.395 0.327 0.938
0.605 0.673 0.062
0.605 0.827 0.562
0.111 0.026 0.639
0.111 0.474 0.139
0.159 0.517 0.369
0.159 0.983 0.869
0.282 0.013 0.083
0.282 0.487 0.583
0.319 0.074 0.270
0.319 0.426 0.770
0.681 0.574 0.230
0.681 0.926 0.730
0.718 0.513 0.417
0.718 0.987 0.917
0.841 0.017 0.131
0.841 0.483 0.631
0.889 0.526 0.861
0.889 0.974 0.361
```

Most intense lines, 2θ from 5° to 70°, by angle:
2θ (°)  I/Imax
22.9  853
23.5  418
23.6  1000
23.8  465
24.1  891
29.1  524
29.9  803
30.7  624
35.0  357
45.7  537

=====

[6]
The following is a simulated X-ray powder pattern of Re2Hg5O10. It was derived from a crystal structure in the Materials Project, relaxed with GGA-PBE, using a wavelength of 1.5418 Å.
Peak positions follow from Bragg's law for the DFT cell and can differ from measured ones.

Structural model:
```
Re2Hg5O10
1.0
6.614 0.000 0.000
0.000 11.850 0.000
-1.452 0.000 8.372
Re Hg O
4 10 20
Direct
0.116 0.157 0.017
0.116 0.343 0.517
0.884 0.657 0.483
0.884 0.843 0.983
0.000 0.000 0.500
0.000 0.500 0.000
0.374 0.717 0.179
0.374 0.783 0.679
0.498 0.089 0.687
0.498 0.411 0.187
0.502 0.589 0.813
0.502 0.911 0.313
0.626 0.217 0.321
0.626 0.283 0.821
0.049 0.079 0.840
0.049 0.421 0.340
0.100 0.676 0.392
0.100 0.824 0.892
0.201 0.208 0.467
0.201 0.292 0.967
0.305 0.552 0.063
0.305 0.948 0.563
0.318 0.091 0.145
0.318 0.409 0.645
0.682 0.591 0.355
0.682 0.909 0.855
0.695 0.052 0.437
0.695 0.448 0.937
0.799 0.708 0.033
0.799 0.792 0.533
0.900 0.176 0.108
0.900 0.324 0.608
0.951 0.579 0.660
0.951 0.921 0.160
```

Most intense lines, 2θ from 5° to 70°, by angle:
2θ (°)  I/Imax
23.2  1000
24.0  338
24.9  251
28.4  390
29.4  357
31.6  221
32.0  297
35.6  227
39.5  236
49.1  221

=====

[7]
The following is a simulated X-ray powder pattern of Re3HgO9. It was derived from a crystal structure in the Materials Project, relaxed with GGA-PBE, using a wavelength of 1.5418 Å.
Peak positions follow from Bragg's law for the DFT cell and can differ from measured ones.

Structural model:
```
Re3HgO9
1.0
7.440 0.000 0.000
-3.720 6.443 0.000
0.000 0.000 3.789
Re Hg O
3 1 9
Direct
0.000 0.500 0.000
0.500 0.000 0.000
0.500 0.500 0.000
0.000 0.000 0.248
0.000 0.500 0.502
0.213 0.425 0.005
0.213 0.787 0.005
0.425 0.213 0.005
0.500 0.000 0.502
0.500 0.500 0.502
0.575 0.787 0.005
0.787 0.213 0.005
0.787 0.575 0.005
```

Most intense lines, 2θ from 5° to 70°, by angle:
2θ (°)  I/Imax
23.5  355
27.3  256
27.7  1000
33.8  146
36.6  426
49.0  245
50.2  116
55.0  169
57.2  155
62.7  117